(1)
Theoretical X-ray diffraction stick pattern of Ba2Zn3P2O2 for Cu Kα, 1.54184 Å, from a PBE-relaxed structure.
No peak broadening, texture or thermal motion is included.

Cell and atoms:
```
data_Ba2Zn3P2O2
_symmetry_space_group_name_H-M 'I 4/m m m'
_symmetry_Int_Tables_number 139
_symmetry_space_group_name_Hall '-I 4 2'
_cell_length_a 4.1603
_cell_length_b 4.1603
_cell_length_c 19.7691
_cell_angle_alpha 90.00
_cell_angle_beta 90.00
_cell_angle_gamma 90.00
loop_
_atom_site_label
_atom_site_fract_x
_atom_site_fract_y
_atom_site_fract_z
_atom_site_occupancy
Ba1 0.0000 0.0000 0.0917 1
Zn1 0.0000 0.0000 0.5000 1
Zn2 0.0000 0.5000 0.2500 1
P1 0.0000 0.0000 0.3215 1
O1 0.0000 0.5000 0.0000 1
```

Top 10 peaks for 2θ = 10–80°, by angle:
(1 0 1), 21.8°, I 25; (1 1 0), 30.4°, I 18; (1 0 5), 31.2°, I 100; (1 1 2), 31.7°, I 42; (1 1 4), 35.5°, I 44; (1 0 7), 38.5°, I 22; (2 0 0), 43.5°, I 46; (2 1 5), 54.5°, I 40; (1 1 10), 56.0°, I 24; (2 0 12), 73.3°, I 16

***

(2)
Theoretical X-ray diffraction stick pattern of Ba2Pa3O10 for Cu Kα, 1.54184 Å, from a PBE-relaxed structure.
No peak broadening, texture or thermal motion is included.

Cell and atoms:
```
data_Ba2Pa3O10
_symmetry_space_group_name_H-M 'C 1 2/m 1'
_symmetry_Int_Tables_number 12
_symmetry_space_group_name_Hall '-C 2y'
_cell_length_a 20.0597
_cell_length_b 6.8731
_cell_length_c 8.3513
_cell_angle_alpha 90.00
_cell_angle_beta 112.18
_cell_angle_gamma 90.00
loop_
_atom_site_label
_atom_site_fract_x
_atom_site_fract_y
_atom_site_fract_z
_atom_site_occupancy
Ba1 0.1101 0.0000 0.2117 1
Ba2 0.1978 0.0000 0.8250 1
Pa1 0.0000 0.2460 0.5000 1
Pa2 0.0835 0.5000 0.9765 1
Pa3 0.1853 0.5000 0.5310 1
O1 0.0000 0.3019 0.0000 1
O2 0.0126 0.0000 0.6719 1
O3 0.0207 0.5000 0.6782 1
O4 0.1121 0.2494 0.5440 1
O5 0.1357 0.5000 0.2607 1
O6 0.1443 0.2573 0.9887 1
O7 0.2443 0.5000 0.7881 1
O8 0.2500 0.2500 0.5000 1
```

Top 10 peaks for 2θ = 10–80°, by angle:
(0 0 2), 23.0°, I 41; (3 1 1), 25.1°, I 55; (1 1 -2), 25.3°, I 58; (3 1 -2), 25.6°, I 65; (4 0 1), 25.9°, I 100; (6 0 -1), 26.7°, I 79; (0 2 1), 28.4°, I 33; (2 2 -1), 28.6°, I 35; (2 2 3), 48.0°, I 32; (4 2 -4), 51.2°, I 30

***

(3)
Theoretical X-ray diffraction stick pattern of BaPa4O12 for Cu Kα, 1.54184 Å, from a PBE-relaxed structure.
No peak broadening, texture or thermal motion is included.

Cell and atoms:
```
data_BaPa4O12
_symmetry_space_group_name_H-M 'I m -3'
_symmetry_Int_Tables_number 204
_symmetry_space_group_name_Hall '-I 2 2 3'
_cell_length_a 8.6528
_cell_length_b 8.6528
_cell_length_c 8.6528
_cell_angle_alpha 90.00
_cell_angle_beta 90.00
_cell_angle_gamma 90.00
loop_
_atom_site_label
_atom_site_fract_x
_atom_site_fract_y
_atom_site_fract_z
_atom_site_occupancy
Ba1 0.0000 0.0000 0.0000 1
Pa1 0.2500 0.2500 0.2500 1
O1 0.0000 0.2404 0.2389 1
```

Top 10 peaks for 2θ = 10–80°, by angle:
(1 1 0), 14.5°, I 12; (2 0 0), 20.5°, I 89; (2 2 0), 29.2°, I 100; (2 2 2), 36.0°, I 14; (4 0 0), 41.8°, I 31; (4 2 0), 47.0°, I 42; (4 2 2), 51.8°, I 44; (4 4 0), 60.5°, I 20; (4 4 2), 64.6°, I 20; (6 2 0), 68.6°, I 19

***

(4)
Theoretical X-ray diffraction stick pattern of Ba5Pa3O12 for Cu Kα, 1.54184 Å, from a PBE-relaxed structure.
No peak broadening, texture or thermal motion is included.

Cell and atoms:
```
data_Ba5Pa3O12
_symmetry_space_group_name_H-M 'P -6 2 m'
_symmetry_Int_Tables_number 189
_symmetry_space_group_name_Hall 'P -6 -2'
_cell_length_a 10.8663
_cell_length_b 10.8663
_cell_length_c 3.6920
_cell_angle_alpha 90.00
_cell_angle_beta 90.00
_cell_angle_gamma 120.00
loop_
_atom_site_label
_atom_site_fract_x
_atom_site_fract_y
_atom_site_fract_z
_atom_site_occupancy
Ba1 0.0000 0.7185 0.0000 1
Ba2 0.3333 0.6667 0.0000 1
Pa1 0.0000 0.3445 0.5000 1
O1 0.0000 0.2175 0.0000 1
O2 0.0000 0.4690 0.0000 1
O3 0.2162 0.7743 0.5000 1
```

Top 10 peaks for 2θ = 10–80°, by angle:
(1 1 0), 16.3°, I 38; (2 1 0), 25.0°, I 14; (3 0 0), 28.5°, I 80; (1 1 1), 29.2°, I 100; (2 1 1), 35.0°, I 15; (2 2 1), 41.3°, I 39; (3 3 0), 50.4°, I 15; (4 1 1), 50.9°, I 43; (3 0 2), 58.0°, I 23; (5 2 1), 67.1°, I 11